Li3FePCO7: theoretical powder diffraction line list (Cu Kα X-rays), based on the GGA+U geometry in Alexandria.
Lines closer than 0.1° are merged.

Most intense lines, 2θ = 10–90°, in order of rising 2θ:
index  Position (°2θ)  d (Å)  Rel. int.
0 1 1  16.85  5.262  21.3
1 0 1  21.65  4.105  69.8
1 0 -2  25.79  3.454  28.5
0 2 0  27.35  3.261  100.0
1 0 2  28.45  3.137  37.2
1 1 -2  29.24  3.054  32.9
0 0 3  30.10  2.969  31.8
1 2 1  35.15  2.553  25.0
2 0 0  36.97  2.431  51.9
2 2 0  46.60  1.949  22.0

Crystal structure
```
Li3FePCO7
1.0
4.885 0.000 0.000
0.000 6.522 0.000
-0.863 0.000 8.906
Li Fe P C O
6 2 2 2 14
Direct
0.000 0.205 0.000 Li
0.000 0.795 0.000 Li
0.306 0.294 0.581 Li
0.306 0.706 0.581 Li
0.654 0.251 0.292 Li
0.654 0.749 0.292 Li
0.398 0.500 0.939 Fe
0.908 0.000 0.642 Fe
0.479 0.000 0.861 P
0.827 0.500 0.720 P
0.093 0.000 0.303 C
0.213 0.500 0.279 C
0.339 0.500 0.414 O
0.356 0.000 0.332 O
0.367 0.000 0.690 O
0.378 0.500 0.170 O
0.382 0.188 0.944 O
0.382 0.812 0.944 O
0.506 0.500 0.718 O
0.800 0.000 0.863 O
0.924 0.312 0.636 O
0.924 0.688 0.636 O
0.927 0.000 0.411 O
0.939 0.500 0.891 O
0.951 0.500 0.251 O
0.969 0.000 0.167 O
```